The following is a simulated powder diffractogram of Tl16HgAu12. It was derived from the PBE geometry in Alexandria, using Cu Ka.
Intensities are scaled so that the largest is 100.

Largest 10 diffraction maxima, in order of rising 2θ, 15° ≤ 2θ ≤ 90°:
| d/Å | two_theta | Rel. int. |
| --- | --- | --- |
| 3.030 | 29.5 | 42 |
| 2.886 | 31.0 | 49 |
| 2.869 | 31.2 | 23 |
| 2.792 | 32.1 | 34 |
| 2.766 | 32.4 | 85 |
| 2.642 | 33.9 | 69 |
| 2.571 | 34.9 | 100 |
| 2.525 | 35.6 | 22 |
| 2.283 | 39.5 | 37 |
| 2.235 | 40.4 | 21 |

Structural model:
```
Tl16HgAu12
1.0
5.613 -7.469 0.000
5.613 7.469 0.000
-4.381 0.000 9.097
Tl Hg Au
16 1 12
direct
0.000 0.000 0.000
0.016 0.016 0.638
0.193 0.593 0.377
0.204 0.968 0.313
0.366 0.616 0.729
0.387 0.985 0.667
0.390 0.684 0.145
0.566 0.997 0.032
0.593 0.193 0.377
0.616 0.366 0.729
0.644 0.644 0.467
0.684 0.390 0.145
0.719 0.719 0.036
0.968 0.204 0.313
0.985 0.387 0.667
0.997 0.566 0.032
0.324 0.324 0.244
0.059 0.700 0.602
0.116 0.309 0.941
0.207 0.790 0.918
0.260 0.260 0.576
0.309 0.116 0.941
0.417 0.417 0.914
0.664 0.857 0.766
0.700 0.059 0.602
0.725 0.921 0.329
0.790 0.207 0.918
0.857 0.664 0.766
0.921 0.725 0.329
```

The following is a simulated powder diffractogram of Tl7HgAu3. It was derived from the PBE geometry in Alexandria, using Cu Ka.
Intensities are scaled so that the largest is 100.

Largest 10 diffraction maxima, in order of rising 2θ, 15° ≤ 2θ ≤ 90°:
| d/Å | two_theta | Rel. int. |
| --- | --- | --- |
| 3.106 | 28.7 | 23 |
| 2.995 | 29.8 | 100 |
| 2.892 | 30.9 | 47 |
| 2.826 | 31.7 | 81 |
| 2.797 | 32.0 | 39 |
| 2.725 | 32.9 | 41 |
| 2.272 | 39.7 | 22 |
| 2.056 | 44.1 | 66 |
| 2.015 | 45.0 | 35 |
| 1.741 | 52.6 | 18 |

Structural model:
```
Tl7HgAu3
1.0
4.464 -5.450 0.000
4.464 5.450 0.000
-1.573 0.000 6.653
Tl Hg Au
7 1 3
direct
0.000 0.000 0.000
0.104 0.503 0.294
0.329 0.329 0.821
0.497 0.896 0.706
0.503 0.104 0.294
0.671 0.671 0.179
0.896 0.497 0.706
0.000 0.000 0.500
0.270 0.730 0.000
0.500 0.500 0.500
0.730 0.270 0.000
```

The following is a simulated powder diffractogram of Tl5HgAu2. It was derived from the PBE geometry in Alexandria, using Cu Ka.
Intensities are scaled so that the largest is 100.

Largest 10 diffraction maxima, in order of rising 2θ, 15° ≤ 2θ ≤ 90°:
| d/Å | two_theta | Rel. int. |
| --- | --- | --- |
| 2.897 | 30.9 | 14 |
| 2.865 | 31.2 | 11 |
| 2.817 | 31.8 | 100 |
| 2.586 | 34.7 | 22 |
| 2.563 | 35.0 | 57 |
| 2.158 | 41.9 | 10 |
| 1.800 | 50.7 | 12 |
| 1.660 | 55.3 | 9 |
| 1.427 | 65.4 | 17 |
| 1.404 | 66.6 | 12 |

Structural model:
```
Tl5HgAu2
1.0
-4.052 4.052 6.716
4.052 -4.052 6.716
4.052 4.052 -6.716
Tl Hg Au
10 2 4
direct
0.000 0.000 0.000
0.015 0.515 0.820
0.195 0.015 0.500
0.305 0.805 0.820
0.485 0.305 0.500
0.500 0.500 0.000
0.515 0.695 0.500
0.695 0.195 0.180
0.805 0.985 0.500
0.985 0.485 0.180
0.250 0.250 0.000
0.750 0.750 0.000
0.136 0.364 0.500
0.364 0.864 0.228
0.636 0.136 0.772
0.864 0.636 0.500
```

The following is a simulated powder diffractogram of Tl9Hg4Au. It was derived from the PBE geometry in Alexandria, using Cu Ka.
Intensities are scaled so that the largest is 100.

Largest 10 diffraction maxima, in order of rising 2θ, 15° ≤ 2θ ≤ 90°:
| d/Å | two_theta | Rel. int. |
| --- | --- | --- |
| 3.222 | 27.7 | 19 |
| 2.728 | 32.8 | 56 |
| 2.697 | 33.2 | 100 |
| 2.605 | 34.4 | 45 |
| 2.469 | 36.4 | 17 |
| 2.458 | 36.6 | 24 |
| 1.680 | 54.6 | 19 |
| 1.639 | 56.1 | 18 |
| 1.621 | 56.8 | 26 |
| 1.610 | 57.2 | 24 |

Structural model:
```
Tl9Hg4Au
1.0
9.833 0.000 0.000
-4.917 8.516 0.000
0.000 0.000 9.877
Tl Hg Au
18 8 2
direct
0.073 0.536 0.250
0.202 0.404 0.552
0.202 0.404 0.948
0.202 0.798 0.552
0.202 0.798 0.948
0.404 0.202 0.052
0.404 0.202 0.448
0.464 0.536 0.250
0.464 0.927 0.250
0.536 0.073 0.750
0.536 0.464 0.750
0.596 0.798 0.552
0.596 0.798 0.948
0.798 0.202 0.052
0.798 0.202 0.448
0.798 0.596 0.052
0.798 0.596 0.448
0.927 0.464 0.750
0.000 0.000 0.000
0.000 0.000 0.500
0.115 0.231 0.250
0.115 0.885 0.250
0.231 0.115 0.750
0.769 0.885 0.250
0.885 0.115 0.750
0.885 0.769 0.750
0.333 0.667 0.750
0.667 0.333 0.250
```